Diffraction record for UB14Mo. The PXRD pattern is theoretical, not measured: it uses a crystal structure in Alexandria, relaxed with GGA-PBE and Cu Kα, 1.54184 Å.
Intensities are scaled so that the largest is 100.

Crystal structure
a b c (Å): 7.4268 7.4268 7.4268
angles (deg): 133.51 84.95 113.54
Fractional positions:
U  0.3763  0.1263  0.2500
U  0.6237  0.8737  0.7500
B  0.0047  0.1258  0.8789
B  0.0271  0.2050  0.3311
B  0.0271  0.6960  0.8221
B  0.0943  0.6738  0.4205
B  0.1989  0.5305  0.6684
B  0.2278  0.5005  0.4048
B  0.2278  0.8230  0.7273
B  0.2467  0.3262  0.9205
B  0.2531  0.8742  0.3789
B  0.3622  0.5305  0.8316
B  0.3739  0.2050  0.6779
B  0.3739  0.6960  0.1689
B  0.4043  0.1770  0.9048
B  0.4043  0.4995  0.2273
B  0.5957  0.5005  0.7727
B  0.5957  0.8230  0.0952
B  0.6261  0.3040  0.8311
B  0.6261  0.7950  0.3221
B  0.6378  0.4695  0.1684
B  0.7469  0.1258  0.6211
B  0.7533  0.6738  0.0795
B  0.7722  0.1770  0.2727
B  0.7722  0.4995  0.5952
B  0.8011  0.4695  0.3316
B  0.9057  0.3262  0.5795
B  0.9729  0.3040  0.1779
B  0.9729  0.7950  0.6689
B  0.9953  0.8742  0.1211
Mo  0.0000  0.0000  0.5000
Mo  0.0000  0.5000  0.0000

The 6 most intense peaks (5 to 70 degrees two-theta), sorted by position:
| Position (°2θ) | intensity |
| --- | --- |
| 16.18 | 100 |
| 24.79 | 52 |
| 27.90 | 66 |
| 33.51 | 58 |
| 36.45 | 53 |
| 41.01 | 44 |